The following is a simulated X-ray diffraction stick pattern of CaZn2P2. It was derived from DFT lattice parameters and positions (PBE), using Cu Kα.
Neutral-atom scattering factors, no anomalous dispersion.

Principal peaks in the range 2θ from 10° to 90°, low angle first:
2θ 12.93, intensity 33, (0 0 1)
2θ 25.41, intensity 24, (1 0 0)
2θ 28.61, intensity 100, (0 1 1)
2θ 36.70, intensity 100, (1 0 2)
2θ 44.78, intensity 85, (1 1 0)
2θ 47.55, intensity 37, (1 0 3)
2θ 59.23, intensity 23, (0 2 2)
2θ 61.22, intensity 31, (1 1 3)

Structure:
Cell lengths 4.0479, 4.0479, 6.8446 Å; angles 90.00, 90.00, 120.00 degrees
Atoms (fractional coordinates):
1 Ca 0.0000 0.0000 0.0000
2 Zn 0.3333 0.6667 0.3667
3 Zn 0.6667 0.3333 0.6333
4 P 0.3333 0.6667 0.7381
5 P 0.6667 0.3333 0.2619